Calculated powder diffraction line list
Compound: Be5Pb
Radiation: Cu Ka
Structure: a crystal structure in Alexandria, relaxed with PBE

Most intense lines, 5° ≤ 2θ ≤ 70°, in order of rising 2θ:
index, 2θ (°), I (rel.)
0 0 2, 16.0, 82
0 1 1, 23.0, 100
1 0 1, 25.9, 76
0 0 4, 32.2, 24
0 1 3, 32.5, 42
1 1 0, 32.9, 39
1 0 3, 34.7, 36
1 1 2, 36.8, 61
1 1 4, 46.8, 36
1 2 1, 51.7, 25

Structural model:
a b c (Å): 3.619 4.121 11.108
angles (deg): 90.00 90.00 90.00
Positions (direct):
Be 0.000 0.000 0.000
Be 0.000 0.000 0.175
Be 0.000 0.255 0.584
Be 0.000 0.500 0.091
Be 0.000 0.745 0.584
Be 0.500 0.000 0.591
Be 0.500 0.245 0.084
Be 0.500 0.500 0.500
Be 0.500 0.500 0.675
Be 0.500 0.755 0.084
Pb 0.000 0.500 0.330
Pb 0.500 0.000 0.830